Diffraction record for Li2CrSi4O10. The powder XRD pattern is theoretical, not measured: it uses a cell relaxed with GGA+U and copper Kα.
Peak positions follow from Bragg's law for the DFT cell and can differ from measured ones.

Structural model:
a b c (Å): 6.9397 7.6103 9.7064
angles (deg): 100.53 102.08 116.62
Space group P-1 (No. 2)
Symmetry-distinct sites (fractional):
Li: 0.1179 0.2490 0.4481 [2 per cell]
Li: 0.2771 0.8139 0.9288 [2 per cell]
Cr: 0.2617 0.2137 0.0710 [2 per cell]
Si: 0.1031 0.8500 0.2409 [2 per cell]
Si: 0.2576 0.5519 0.3157 [2 per cell]
Si: 0.3070 0.1116 0.7384 [2 per cell]
Si: 0.4023 0.7791 0.6462 [2 per cell]
O: 0.0517 0.8541 0.0723 [2 per cell]
O: 0.0728 0.1213 0.6772 [2 per cell]
O: 0.0832 0.6289 0.2485 [2 per cell]
O: 0.1590 0.3100 0.2421 [2 per cell]
O: 0.2329 0.8807 0.6266 [2 per cell]
O: 0.2868 0.5770 0.4950 [2 per cell]
O: 0.3524 0.0422 0.3563 [2 per cell]
O: 0.3819 0.1187 0.9085 [2 per cell]
O: 0.4244 0.7188 0.7953 [2 per cell]
O: 0.4922 0.2970 0.6941 [2 per cell]

Principal peaks in the range 2θ from 5° to 70°, by intensity:
23.34°, I = 100.0
19.72°, I = 46.7
28.55°, I = 45.4
13.72°, I = 43.6
17.83°, I = 36.5
15.08°, I = 27.2
17.07°, I = 26.1
23.82°, I = 23.1
30.14°, I = 22.0
28.77°, I = 21.8
39.88°, I = 21.1
26.22°, I = 20.1

***

Diffraction record for Li2CrSi6O15. The powder XRD pattern is theoretical, not measured: it uses a cell relaxed with GGA+U and copper Kα.
Peak positions follow from Bragg's law for the DFT cell and can differ from measured ones.

Structural model:
a b c (Å): 6.7033 7.3355 7.3386
angles (deg): 97.51 114.09 110.97
Space group P-1 (No. 2)
Symmetry-distinct sites (fractional):
Li: 0.2038 0.1708 0.1907 [2 per cell]
Cr: 0.5000 0.0000 0.0000 [1 per cell]
Si: 0.1466 0.2134 0.7975 [2 per cell]
Si: 0.2237 0.6960 0.5133 [2 per cell]
Si: 0.3690 0.6070 0.1717 [2 per cell]
O: 0.0000 0.5000 0.5000 [1 per cell]
O: 0.1234 0.8487 0.3991 [2 per cell]
O: 0.1613 0.0107 0.8547 [2 per cell]
O: 0.1899 0.3654 0.0139 [2 per cell]
O: 0.3235 0.7692 0.0527 [2 per cell]
O: 0.3254 0.6057 0.3734 [2 per cell]
O: 0.3457 0.3489 0.7354 [2 per cell]
O: 0.4542 0.8242 0.7494 [2 per cell]

Principal peaks in the range 2θ from 5° to 70°, by intensity:
29.08°, I = 100.0
22.47°, I = 91.0
22.59°, I = 90.8
28.11°, I = 76.3
15.37°, I = 60.9
29.21°, I = 43.4
26.53°, I = 33.1
13.98°, I = 26.7
26.86°, I = 21.8
37.40°, I = 20.1
31.03°, I = 19.6
15.79°, I = 18.9

***

Diffraction record for Li2Cr3Si3O10. The powder XRD pattern is theoretical, not measured: it uses a cell relaxed with GGA+U and copper Kα.
Peak positions follow from Bragg's law for the DFT cell and can differ from measured ones.

Structural model:
a b c (Å): 16.4257 4.8835 10.3636
angles (deg): 90.00 93.25 90.00
Space group C2/c (No. 15)
Symmetry-distinct sites (fractional):
Li: 0.0526 0.2179 0.4727 [8 per cell]
Cr: 0.1516 0.2278 0.2121 [8 per cell]
Cr: 0.2500 0.2500 0.5000 [4 per cell]
Si: 0.0000 0.1783 0.7500 [4 per cell]
Si: 0.1509 0.3003 0.8992 [8 per cell]
O: 0.0471 0.0020 0.6447 [8 per cell]
O: 0.0572 0.3931 0.8404 [8 per cell]
O: 0.1520 0.0365 0.3978 [8 per cell]
O: 0.1580 0.4492 0.0431 [8 per cell]
O: 0.2167 0.4538 0.8131 [8 per cell]

Principal peaks in the range 2θ from 5° to 70°, by intensity:
25.62°, I = 100.0
10.79°, I = 61.4
32.50°, I = 51.8
36.56°, I = 35.5
34.45°, I = 31.1
19.76°, I = 29.6
47.24°, I = 23.5
59.08°, I = 22.0
35.15°, I = 20.6
39.58°, I = 16.3
31.98°, I = 16.1
44.20°, I = 15.6

***

Diffraction record for Li2Cr5Si4O14. The powder XRD pattern is theoretical, not measured: it uses a cell relaxed with GGA+U and copper Kα.
Peak positions follow from Bragg's law for the DFT cell and can differ from measured ones.

Structural model:
a b c (Å): 5.6153 8.0382 13.4643
angles (deg): 97.45 95.51 91.21
Space group P-1 (No. 2)
Symmetry-distinct sites (fractional):
Li: 0.1734 0.4013 0.4455 [2 per cell]
Li: 0.3265 0.0987 0.0546 [2 per cell]
Cr: 0.0000 0.0000 0.5000 [1 per cell]
Cr: 0.1183 0.3822 0.6927 [2 per cell]
Cr: 0.1195 0.0751 0.2862 [2 per cell]
Cr: 0.3802 0.4246 0.2144 [2 per cell]
Cr: 0.3821 0.1188 0.8078 [2 per cell]
Cr: 0.5000 0.5000 0.0000 [1 per cell]
Si: 0.1222 0.7566 0.1129 [2 per cell]
Si: 0.1895 0.7913 0.8965 [2 per cell]
Si: 0.3107 0.7086 0.6034 [2 per cell]
Si: 0.3782 0.7432 0.3871 [2 per cell]
O: 0.0006 0.2575 0.2021 [2 per cell]
O: 0.0301 0.7649 0.9931 [2 per cell]
O: 0.0682 0.8237 0.5946 [2 per cell]
O: 0.1030 0.2773 0.8239 [2 per cell]
O: 0.1859 0.8943 0.3837 [2 per cell]
O: 0.2000 0.5159 0.5838 [2 per cell]
O: 0.2410 0.5618 0.3382 [2 per cell]
O: 0.2590 0.9380 0.1620 [2 per cell]
O: 0.3002 0.9840 0.9162 [2 per cell]
O: 0.3141 0.6051 0.1164 [2 per cell]
O: 0.3965 0.2227 0.6761 [2 per cell]
O: 0.4318 0.6757 0.9051 [2 per cell]
O: 0.4703 0.7349 0.5069 [2 per cell]
O: 0.4994 0.2421 0.2980 [2 per cell]

Principal peaks in the range 2θ from 5° to 70°, by intensity:
29.83°, I = 100.0
25.57°, I = 63.7
32.74°, I = 56.2
34.68°, I = 48.0
33.06°, I = 45.3
28.22°, I = 42.4
13.33°, I = 34.0
19.72°, I = 27.0
35.98°, I = 26.4
37.02°, I = 25.7
50.24°, I = 22.3
23.30°, I = 20.5